Entry 1:
Diffraction record for Th7Ni3. The X-ray diffraction stick pattern is computed, not measured: it uses a DFT-relaxed cell (PBE, the Materials Project) and Cu Ka.
Intensities are scaled so that the largest is 100.

Peak list (6 most intense, 10 to 80 degrees two-theta, sorted by position)
30.6 deg, 2.919 Å, intensity 38.7; 31.3 deg, 2.857 Å, intensity 100.0; 34.8 deg, 2.581 Å, intensity 38.5; 35.8 deg, 2.509 Å, intensity 31.3; 36.6 deg, 2.457 Å, intensity 21.7; 55.6 deg, 1.653 Å, intensity 26.6

Structural model:
abc: 9.826 9.826 6.215
angles: 90.00 90.00 120.00
Element x y z (fractional)
Th: 0.089 0.544 0.000
Th: 0.127 0.254 0.702
Th: 0.127 0.873 0.702
Th: 0.254 0.127 0.202
Th: 0.333 0.667 0.532
Th: 0.456 0.544 0.000
Th: 0.456 0.911 0.000
Th: 0.544 0.089 0.500
Th: 0.544 0.456 0.500
Th: 0.667 0.333 0.032
Th: 0.746 0.873 0.702
Th: 0.873 0.127 0.202
Th: 0.873 0.746 0.202
Th: 0.911 0.456 0.500
Ni: 0.186 0.373 0.268
Ni: 0.186 0.814 0.268
Ni: 0.373 0.186 0.768
Ni: 0.627 0.814 0.268
Ni: 0.814 0.186 0.768
Ni: 0.814 0.627 0.768

Entry 2:
Diffraction record for RbBe3ZnF9. The X-ray diffraction stick pattern is computed, not measured: it uses a DFT-relaxed cell (PBE, the Materials Project) and Cu Ka.
Intensities are scaled so that the largest is 100.

Peak list (6 most intense, 10 to 80 degrees two-theta, sorted by position)
15.1 deg, 5.876 Å, intensity 43.0; 23.6 deg, 3.766 Å, intensity 100.0; 26.3 deg, 3.393 Å, intensity 28.4; 32.1 deg, 2.791 Å, intensity 97.1; 45.6 deg, 1.988 Å, intensity 39.7; 50.1 deg, 1.819 Å, intensity 27.3

Structural model:
abc: 6.785 6.785 9.814
angles: 90.00 90.00 120.00
Element x y z (fractional)
Rb: 0.000 0.000 0.000
Rb: 0.000 0.000 0.500
Be: 0.057 0.457 0.250
Be: 0.057 0.600 0.750
Be: 0.400 0.457 0.750
Be: 0.400 0.943 0.250
Be: 0.543 0.600 0.250
Be: 0.543 0.943 0.750
Zn: 0.667 0.333 0.000
Zn: 0.667 0.333 0.500
F: 0.150 0.427 0.750
F: 0.150 0.723 0.250
F: 0.277 0.427 0.250
F: 0.277 0.850 0.750
F: 0.421 0.079 0.120
F: 0.421 0.079 0.380
F: 0.421 0.341 0.620
F: 0.421 0.341 0.880
F: 0.573 0.723 0.750
F: 0.573 0.850 0.250
F: 0.659 0.079 0.620
F: 0.659 0.079 0.880
F: 0.659 0.579 0.120
F: 0.659 0.579 0.380
F: 0.921 0.341 0.120
F: 0.921 0.341 0.380
F: 0.921 0.579 0.620
F: 0.921 0.579 0.880

Entry 3:
Diffraction record for SbO2. The X-ray diffraction stick pattern is computed, not measured: it uses a DFT-relaxed cell (PBE, the Materials Project) and Cu Ka.
Intensities are scaled so that the largest is 100.

Peak list (6 most intense, 10 to 80 degrees two-theta, sorted by position)
29.4 deg, 3.039 Å, intensity 100.0; 34.1 deg, 2.632 Å, intensity 49.4; 48.9 deg, 1.861 Å, intensity 54.8; 58.1 deg, 1.587 Å, intensity 43.8; 61.0 deg, 1.519 Å, intensity 14.8; 79.4 deg, 1.207 Å, intensity 18.0

Structural model:
abc: 7.443 7.443 7.443
angles: 60.00 60.00 60.00
Element x y z (fractional)
Sb: 0.246 0.751 0.751
Sb: 0.249 0.249 0.249
Sb: 0.249 0.249 0.754
Sb: 0.249 0.754 0.249
Sb: 0.751 0.246 0.751
Sb: 0.751 0.751 0.246
Sb: 0.751 0.751 0.751
Sb: 0.754 0.249 0.249
O: 0.000 0.000 0.000
O: 0.000 0.000 0.500
O: 0.000 0.500 0.000
O: 0.179 0.179 0.571
O: 0.179 0.571 0.179
O: 0.179 0.571 0.571
O: 0.429 0.429 0.821
O: 0.429 0.821 0.429
O: 0.429 0.821 0.821
O: 0.500 0.000 0.000
O: 0.571 0.179 0.179
O: 0.571 0.179 0.571
O: 0.571 0.571 0.179
O: 0.821 0.429 0.429
O: 0.821 0.429 0.821
O: 0.821 0.821 0.429

Entry 4:
Diffraction record for PrBr3. The X-ray diffraction stick pattern is computed, not measured: it uses a DFT-relaxed cell (PBE, the Materials Project) and Cu Ka.
Intensities are scaled so that the largest is 100.

Peak list (6 most intense, 10 to 80 degrees two-theta, sorted by position)
12.7 deg, 6.989 Å, intensity 72.7; 29.9 deg, 2.990 Å, intensity 69.4; 32.6 deg, 2.749 Å, intensity 100.0; 38.6 deg, 2.330 Å, intensity 36.2; 39.7 deg, 2.272 Å, intensity 61.6; 61.5 deg, 1.509 Å, intensity 37.3

Structural model:
abc: 8.070 8.070 4.453
angles: 90.00 90.00 120.00
Element x y z (fractional)
Pr: 0.333 0.667 0.250
Pr: 0.667 0.333 0.750
Br: 0.087 0.388 0.750
Br: 0.301 0.913 0.750
Br: 0.388 0.301 0.250
Br: 0.612 0.699 0.750
Br: 0.699 0.087 0.250
Br: 0.913 0.612 0.250

Entry 5:
Diffraction record for Ba3YI9. The X-ray diffraction stick pattern is computed, not measured: it uses a DFT-relaxed cell (PBE, the Materials Project) and Cu Ka.
Intensities are scaled so that the largest is 100.

Peak list (6 most intense, 10 to 80 degrees two-theta, sorted by position)
24.0 deg, 3.703 Å, intensity 57.4; 25.3 deg, 3.524 Å, intensity 37.4; 28.2 deg, 3.166 Å, intensity 100.0; 31.5 deg, 2.843 Å, intensity 61.8; 43.8 deg, 2.065 Å, intensity 45.3; 52.9 deg, 1.730 Å, intensity 45.6

Structural model:
abc: 14.302 8.262 20.416
angles: 90.00 90.00 90.00
Element x y z (fractional)
Ba: 0.049 0.250 0.099
Ba: 0.190 0.250 0.528
Ba: 0.234 0.750 0.325
Ba: 0.266 0.250 0.825
Ba: 0.310 0.750 0.028
Ba: 0.451 0.750 0.599
Ba: 0.549 0.250 0.401
Ba: 0.690 0.250 0.972
Ba: 0.734 0.750 0.175
Ba: 0.766 0.250 0.675
Ba: 0.810 0.750 0.472
Ba: 0.951 0.750 0.901
Y: 0.021 0.750 0.676
Y: 0.479 0.250 0.176
Y: 0.521 0.750 0.824
Y: 0.979 0.250 0.324
I: 0.067 0.509 0.414
I: 0.067 0.991 0.414
I: 0.082 0.005 0.768
I: 0.082 0.495 0.768
I: 0.137 0.003 0.962
I: 0.137 0.497 0.962
I: 0.162 0.250 0.253
I: 0.169 0.750 0.161
I: 0.186 0.750 0.584
I: 0.314 0.250 0.084
I: 0.331 0.250 0.661
I: 0.338 0.750 0.753
I: 0.363 0.503 0.462
I: 0.363 0.997 0.462
I: 0.418 0.505 0.268
I: 0.418 0.995 0.268
I: 0.433 0.009 0.914
I: 0.433 0.491 0.914
I: 0.567 0.509 0.086
I: 0.567 0.991 0.086
I: 0.582 0.005 0.732
I: 0.582 0.495 0.732
I: 0.637 0.003 0.538
I: 0.637 0.497 0.538
I: 0.662 0.250 0.247
I: 0.669 0.750 0.339
I: 0.686 0.750 0.916
I: 0.814 0.250 0.416
I: 0.831 0.250 0.839
I: 0.838 0.750 0.747
I: 0.863 0.503 0.038
I: 0.863 0.997 0.038
I: 0.918 0.505 0.232
I: 0.918 0.995 0.232
I: 0.933 0.009 0.586
I: 0.933 0.491 0.586

Entry 6:
Diffraction record for Nd2Ge6Pd. The X-ray diffraction stick pattern is computed, not measured: it uses a DFT-relaxed cell (PBE, the Materials Project) and Cu Ka.
Intensities are scaled so that the largest is 100.

Peak list (6 most intense, 10 to 80 degrees two-theta, sorted by position)
32.1 deg, 2.787 Å, intensity 24.1; 32.8 deg, 2.734 Å, intensity 100.0; 42.4 deg, 2.132 Å, intensity 19.5; 43.2 deg, 2.093 Å, intensity 24.1; 43.9 deg, 2.062 Å, intensity 23.4; 63.3 deg, 1.469 Å, intensity 15.2

Structural model:
abc: 4.186 11.397 11.397
angles: 20.84 90.00 90.00
Element x y z (fractional)
Nd: 0.000 0.000 0.000
Nd: 0.000 0.337 0.337
Ge: 0.000 0.621 0.621
Ge: 0.000 0.733 0.733
Ge: 0.500 0.122 0.122
Ge: 0.500 0.234 0.234
Ge: 0.500 0.449 0.449
Ge: 0.500 0.881 0.881
Pd: 0.500 0.559 0.559

Entry 7:
Diffraction record for Nd2Fe17H3. The X-ray diffraction stick pattern is computed, not measured: it uses a DFT-relaxed cell (PBE, the Materials Project) and Cu Ka.
Intensities are scaled so that the largest is 100.

Peak list (6 most intense, 10 to 80 degrees two-theta, sorted by position)
30.1 deg, 2.973 Å, intensity 39.6; 35.8 deg, 2.507 Å, intensity 40.8; 37.9 deg, 2.373 Å, intensity 33.0; 41.6 deg, 2.172 Å, intensity 73.5; 42.3 deg, 2.136 Å, intensity 100.0; 44.4 deg, 2.039 Å, intensity 32.2

Structural model:
abc: 6.463 6.463 6.463
angles: 84.44 84.44 84.44
Element x y z (fractional)
Nd: 0.155 0.155 0.155
Nd: 0.845 0.845 0.845
Fe: 0.000 0.500 0.500
Fe: 0.159 0.159 0.650
Fe: 0.159 0.650 0.159
Fe: 0.217 0.500 0.783
Fe: 0.217 0.783 0.500
Fe: 0.350 0.841 0.841
Fe: 0.403 0.403 0.403
Fe: 0.500 0.000 0.500
Fe: 0.500 0.217 0.783
Fe: 0.500 0.500 0.000
Fe: 0.500 0.783 0.217
Fe: 0.597 0.597 0.597
Fe: 0.650 0.159 0.159
Fe: 0.783 0.217 0.500
Fe: 0.783 0.500 0.217
Fe: 0.841 0.350 0.841
Fe: 0.841 0.841 0.350
H: 0.000 0.000 0.500
H: 0.000 0.500 0.000
H: 0.500 0.000 0.000

Entry 8:
Diffraction record for Ta3As. The X-ray diffraction stick pattern is computed, not measured: it uses a DFT-relaxed cell (PBE, the Materials Project) and Cu Ka.
Intensities are scaled so that the largest is 100.

Peak list (6 most intense, 10 to 80 degrees two-theta, sorted by position)
35.8 deg, 2.510 Å, intensity 100.0; 36.5 deg, 2.460 Å, intensity 61.7; 37.0 deg, 2.432 Å, intensity 45.7; 39.0 deg, 2.308 Å, intensity 38.4; 39.9 deg, 2.257 Å, intensity 76.5; 42.6 deg, 2.125 Å, intensity 39.6

Structural model:
abc: 10.320 10.320 5.226
angles: 90.00 90.00 90.00
Element x y z (fractional)
Ta: 0.036 0.939 0.240
Ta: 0.061 0.536 0.740
Ta: 0.100 0.267 0.022
Ta: 0.153 0.835 0.725
Ta: 0.165 0.653 0.225
Ta: 0.233 0.100 0.478
Ta: 0.267 0.400 0.478
Ta: 0.335 0.847 0.225
Ta: 0.347 0.665 0.725
Ta: 0.400 0.233 0.022
Ta: 0.439 0.964 0.740
Ta: 0.464 0.561 0.240
Ta: 0.536 0.439 0.760
Ta: 0.561 0.036 0.260
Ta: 0.600 0.767 0.978
Ta: 0.653 0.335 0.275
Ta: 0.665 0.153 0.775
Ta: 0.733 0.600 0.522
Ta: 0.767 0.900 0.522
Ta: 0.835 0.347 0.775
Ta: 0.847 0.165 0.275
Ta: 0.900 0.733 0.978
Ta: 0.939 0.464 0.260
Ta: 0.964 0.061 0.760
As: 0.045 0.277 0.523
As: 0.223 0.045 0.977
As: 0.277 0.455 0.977
As: 0.455 0.223 0.523
As: 0.545 0.777 0.477
As: 0.723 0.545 0.023
As: 0.777 0.955 0.023
As: 0.955 0.723 0.477